Calculated X-ray powder pattern
Compound: BaNa2GaS4
Radiation: CuKα
Structure: the GGA-PBE geometry in Alexandria

Largest 10 diffraction maxima, low angle first, 10 to 90 degrees two-theta:
2θ = 17.34°, I = 70
2θ = 24.61°, I = 23
2θ = 28.72°, I = 100
2θ = 29.88°, I = 27
2θ = 33.74°, I = 32
2θ = 35.08°, I = 42
2θ = 45.95°, I = 55
2θ = 53.23°, I = 24
2θ = 56.92°, I = 12
2θ = 81.36°, I = 11

Crystal structure
a = 6.4405 Å, b = 6.4405 Å, c = 6.4405 Å
α = 111.66°, β = 111.66°, γ = 105.17°
Positions (direct):
Ba1 0.0000 0.0000 0.0000
Na1 0.2500 0.7500 0.5000
Na2 0.7500 0.2500 0.5000
Ga1 0.5000 0.5000 0.0000
S1 0.1549 0.1549 0.6189
S2 0.4640 0.8451 0.0000
S3 0.5360 0.5360 0.3811
S4 0.8451 0.4640 0.0000



Calculated X-ray powder pattern
Compound: Ba5NaGa2Sb6
Radiation: CuKα
Structure: the GGA-PBE geometry in Alexandria

Largest 10 diffraction maxima, low angle first, 10 to 90 degrees two-theta:
2θ = 24.78°, I = 41
2θ = 25.91°, I = 54
2θ = 27.13°, I = 100
2θ = 27.93°, I = 53
2θ = 28.29°, I = 64
2θ = 28.51°, I = 100
2θ = 29.98°, I = 63
2θ = 32.99°, I = 74
2θ = 41.24°, I = 27
2θ = 46.75°, I = 32

Crystal structure
a = 12.9391 Å, b = 10.8618 Å, c = 14.2609 Å
α = 90.00°, β = 90.00°, γ = 90.00°
Positions (direct):
Ba1 0.0807 0.0276 0.2479
Ba2 0.0807 0.4724 0.2479
Ba3 0.1649 0.2500 0.8196
Ba4 0.1714 0.0201 0.5379
Ba5 0.1714 0.4799 0.5379
Ba6 0.3286 0.5201 0.0379
Ba7 0.3286 0.9799 0.0379
Ba8 0.3351 0.7500 0.3196
Ba9 0.4193 0.5276 0.7479
Ba10 0.4193 0.9724 0.7479
Ba11 0.5807 0.0276 0.2521
Ba12 0.5807 0.4724 0.2521
Ba13 0.6649 0.2500 0.6804
Ba14 0.6714 0.0201 0.9621
Ba15 0.6714 0.4799 0.9621
Ba16 0.8286 0.5201 0.4621
Ba17 0.8286 0.9799 0.4621
Ba18 0.8351 0.7500 0.1804
Ba19 0.9193 0.5276 0.7521
Ba20 0.9193 0.9724 0.7521
Na1 0.0000 0.0000 0.0000
Na2 0.0000 0.5000 0.0000
Na3 0.5000 0.0000 0.5000
Na4 0.5000 0.5000 0.5000
Ga1 0.0845 0.7500 0.9232
Ga2 0.1863 0.7500 0.6976
Ga3 0.3137 0.2500 0.1976
Ga4 0.4155 0.2500 0.4232
Ga5 0.5845 0.7500 0.5768
Ga6 0.6863 0.7500 0.8024
Ga7 0.8137 0.2500 0.3024
Ga8 0.9155 0.2500 0.0768
Sb1 0.0013 0.7500 0.5853
Sb2 0.0444 0.7500 0.3856
Sb3 0.1277 0.7500 0.1143
Sb4 0.1448 0.2500 0.0724
Sb5 0.1716 0.5569 0.8246
Sb6 0.1716 0.9431 0.8246
Sb7 0.3284 0.0569 0.3246
Sb8 0.3284 0.4431 0.3246
Sb9 0.3552 0.7500 0.5724
Sb10 0.3723 0.2500 0.6143
Sb11 0.4556 0.2500 0.8856
Sb12 0.4987 0.2500 0.0853
Sb13 0.5013 0.7500 0.9147
Sb14 0.5444 0.7500 0.1144
Sb15 0.6277 0.7500 0.3857
Sb16 0.6448 0.2500 0.4276
Sb17 0.6716 0.5569 0.6754
Sb18 0.6716 0.9431 0.6754
Sb19 0.8284 0.0569 0.1754
Sb20 0.8284 0.4431 0.1754
Sb21 0.8552 0.7500 0.9276
Sb22 0.8723 0.2500 0.8857
Sb23 0.9556 0.2500 0.6144
Sb24 0.9987 0.2500 0.4147



Calculated X-ray powder pattern
Compound: Ba2NbGa4
Radiation: CuKα
Structure: the GGA-PBE geometry in Alexandria

Largest 10 diffraction maxima, low angle first, 10 to 90 degrees two-theta:
2θ = 10.40°, I = 47
2θ = 23.33°, I = 48
2θ = 24.43°, I = 76
2θ = 31.55°, I = 55
2θ = 32.36°, I = 99
2θ = 34.83°, I = 100
2θ = 47.70°, I = 58
2θ = 50.08°, I = 35
2θ = 56.10°, I = 27
2θ = 60.89°, I = 32

Crystal structure
a = 9.2500 Å, b = 9.2500 Å, c = 9.2500 Å
α = 147.66°, β = 147.66°, γ = 46.39°
Positions (direct):
Ba1 0.1409 0.1409 0.0000
Ba2 0.8591 0.8591 0.0000
Nb1 0.5000 0.5000 0.0000
Ga1 0.0000 0.5000 0.5000
Ga2 0.3520 0.3520 0.0000
Ga3 0.5000 0.0000 0.5000
Ga4 0.6480 0.6480 0.0000